Entry 1:
The following is a calculated powder diffraction line list of Tb6Nd3Tl. It was derived from a cell relaxed with GGA-PBE, using Cu Kα.

Cell and atoms:
a b c (Å): 12.8906 3.5396 14.4611
angles (deg): 90.00 101.14 90.00
Space group P2_1/m (No. 11)
Asymmetric unit:
Tb 0.0122 0.2500 0.3095
Tb 0.1570 0.2500 0.8829
Tb 0.2580 0.7500 0.3118
Tb 0.2726 0.7500 0.7161
Tb 0.3100 0.7500 0.0783
Tb 0.3930 0.2500 0.5420
Nd 0.0787 0.2500 0.0981
Nd 0.1327 0.7500 0.5050
Nd 0.4246 0.2500 0.8978
Tl 0.4645 0.2500 0.2728

Top 12 peaks for 2θ from 10° to 90°, in order of rising 2θ:
| d_spacing | I/Imax |
| --- | --- |
| 2.961 | 481 |
| 2.900 | 615 |
| 2.883 | 136 |
| 2.836 | 1000 |
| 2.710 | 405 |
| 2.701 | 373 |
| 2.447 | 279 |
| 1.849 | 178 |
| 1.770 | 166 |
| 1.607 | 129 |
| 1.511 | 182 |
| 1.502 | 131 |

Entry 2:
The following is a calculated powder diffraction line list of TbBeSi2Ni2. It was derived from a cell relaxed with GGA-PBE, using Cu Kα.

Cell and atoms:
a b c (Å): 4.1795 4.1795 5.1208
angles (deg): 90.00 90.00 90.00
Space group P4/mmm (No. 123)
Asymmetric unit:
Tb 0.0000 0.0000 0.0000
Be 0.0000 0.0000 0.5000
Si 0.0000 0.5000 0.5000
Ni 0.5000 0.5000 0.2459

Top 12 peaks for 2θ from 10° to 90°, in order of rising 2θ:
| d_spacing | I/Imax |
| --- | --- |
| 5.121 | 213 |
| 3.238 | 749 |
| 2.955 | 765 |
| 2.560 | 864 |
| 2.183 | 1000 |
| 2.090 | 622 |
| 1.756 | 264 |
| 1.510 | 600 |
| 1.478 | 331 |
| 1.280 | 267 |
| 1.224 | 150 |
| 1.092 | 151 |

Entry 3:
The following is a calculated powder diffraction line list of AcZrBr. It was derived from a cell relaxed with GGA-PBE, using Cu Kα.

Cell and atoms:
a b c (Å): 3.9617 12.6520 5.5472
angles (deg): 90.00 134.37 90.00
Space group Pc (No. 7)
Asymmetric unit:
Ac 0.0000 0.2329 0.0000
Zr 0.1318 0.0420 0.5646
Br 0.9935 0.3740 0.4971

Top 12 peaks for 2θ from 10° to 90°, in order of rising 2θ:
| d_spacing | I/Imax |
| --- | --- |
| 6.326 | 259 |
| 3.782 | 341 |
| 3.358 | 109 |
| 2.888 | 1000 |
| 2.832 | 305 |
| 2.774 | 327 |
| 2.585 | 102 |
| 2.472 | 178 |
| 2.133 | 117 |
| 1.982 | 219 |
| 1.645 | 219 |
| 1.622 | 182 |

Entry 4:
The following is a calculated powder diffraction line list of Nd4HgRh. It was derived from a cell relaxed with GGA-PBE, using Cu Kα.

Cell and atoms:
a b c (Å): 8.9638 14.0640 6.2080
angles (deg): 90.00 115.70 90.00
Space group C2/c (No. 15)
Asymmetric unit:
Nd 0.1145 0.1846 0.0766
Nd 0.2217 0.4295 0.3344
Hg 0.0000 0.3784 0.7500
Rh 0.0000 0.0020 0.2500

Top 12 peaks for 2θ from 10° to 90°, in order of rising 2θ:
| d_spacing | I/Imax |
| --- | --- |
| 3.018 | 631 |
| 2.988 | 431 |
| 2.977 | 488 |
| 2.919 | 950 |
| 2.714 | 576 |
| 2.656 | 673 |
| 2.580 | 502 |
| 2.566 | 1000 |
| 2.335 | 357 |
| 2.258 | 297 |
| 1.940 | 273 |
| 1.760 | 292 |

Entry 5:
The following is a calculated powder diffraction line list of Th3UN4. It was derived from a cell relaxed with GGA-PBE, using Cu Kα.

Cell and atoms:
a b c (Å): 6.2542 7.1816 6.2434
angles (deg): 90.00 109.49 90.00
Space group P2/c (No. 13)
Asymmetric unit:
Th 0.0000 0.1242 0.2500
Th 0.0000 0.3734 0.7500
Th 0.5000 0.3735 0.2500
U 0.5000 0.1245 0.7500
N 0.2673 0.3602 0.5157
N 0.2719 0.1140 0.0003

Top 12 peaks for 2θ from 10° to 90°, in order of rising 2θ:
| d_spacing | I/Imax |
| --- | --- |
| 2.945 | 769 |
| 2.937 | 763 |
| 2.547 | 1000 |
| 1.802 | 597 |
| 1.795 | 118 |
| 1.538 | 242 |
| 1.537 | 241 |
| 1.533 | 239 |
| 1.468 | 123 |
| 1.171 | 105 |
| 1.141 | 112 |
| 1.140 | 112 |

Entry 6:
The following is a calculated powder diffraction line list of Cd3P2Pd7. It was derived from a cell relaxed with GGA-PBE, using Cu Kα.

Cell and atoms:
a b c (Å): 4.4563 4.5332 10.4611
angles (deg): 93.13 95.71 97.92
Space group P-1 (No. 2)
Asymmetric unit:
Cd 0.0000 0.0000 0.0000
Cd 0.0207 0.1792 0.3905
P 0.4442 0.4729 0.7640
Pd 0.0405 0.5369 0.1750
Pd 0.4393 0.7418 0.4217
Pd 0.4493 0.9750 0.8232
Pd 0.5000 0.5000 0.0000

Top 12 peaks for 2θ from 10° to 90°, in order of rising 2θ:
| d_spacing | I/Imax |
| --- | --- |
| 3.191 | 74 |
| 2.878 | 486 |
| 2.432 | 489 |
| 2.382 | 1000 |
| 2.221 | 375 |
| 2.194 | 401 |
| 2.092 | 133 |
| 2.077 | 301 |
| 1.475 | 132 |
| 1.433 | 114 |
| 1.418 | 109 |
| 1.252 | 75 |

Entry 7:
The following is a calculated powder diffraction line list of ThGaCo3Ge. It was derived from a cell relaxed with GGA-PBE, using Cu Kα.

Cell and atoms:
a b c (Å): 6.0539 11.6416 5.5876
angles (deg): 90.00 90.00 90.00
Space group Cmcm (No. 63)
Asymmetric unit:
Th 0.0000 0.2098 0.2500
Ga 0.0000 0.4672 0.2500
Co 0.0000 0.3282 0.7500
Co 0.1985 0.0000 0.0000
Ge 0.0000 0.1302 0.7500

Top 12 peaks for 2θ from 10° to 90°, in order of rising 2θ:
| d_spacing | I/Imax |
| --- | --- |
| 3.872 | 544 |
| 3.267 | 364 |
| 3.027 | 589 |
| 2.820 | 450 |
| 2.794 | 407 |
| 2.686 | 544 |
| 2.581 | 580 |
| 2.519 | 546 |
| 2.123 | 489 |
| 2.053 | 1000 |
| 2.025 | 387 |
| 1.964 | 523 |